The following is a computed powder diffractogram of Sn2BiCl7. It was derived from the PBE geometry in Alexandria, using Cu Kα, 1.54184 Å.
Intensities are scaled so that the largest is 100.

The 12 most intense peaks (2θ from 10° to 90°), in order of rising 2θ:
(1 1 0), 11.0 deg, rel. 16; (1 1 -1), 11.8 deg, rel. 31; (2 0 0), 13.6 deg, rel. 100; (0 2 0), 17.2 deg, rel. 48; (3 1 -1), 19.1 deg, rel. 35; (2 2 0), 22.0 deg, rel. 39; (3 1 -3), 25.8 deg, rel. 38; (1 1 -3), 27.1 deg, rel. 17; (2 0 2), 29.3 deg, rel. 20; (5 1 -1), 31.3 deg, rel. 18; (2 2 2), 34.2 deg, rel. 24; (5 3 -1), 40.1 deg, rel. 18

Atomic structure:
```
data_Sn2BiCl7
_chemical_formula_sum 'Sn8 Bi4 Cl28'
_space_group_name_H-M_alt 'C 1 2/c 1'
_space_group_IT_number 15
_space_group_name_Hall '-C 2yc'
_cell_length_a 15.693
_cell_length_b 10.303
_cell_length_c 11.192
_cell_angle_alpha 90.00
_cell_angle_beta 124.10
_cell_angle_gamma 90.00
loop_
_atom_site_label
_atom_site_type_symbol
_atom_site_fract_x
_atom_site_fract_y
_atom_site_fract_z
Sn1 Sn 0.065 0.192 0.125
Bi1 Bi 0.000 0.238 0.750
Cl1 Cl 0.000 0.351 0.250
Cl2 Cl 0.112 0.051 0.925
Cl3 Cl 0.112 0.213 0.630
Cl4 Cl 0.119 0.378 0.029
```

=====

The following is a computed powder diffractogram of CsScCuI6. It was derived from the PBE geometry in Alexandria, using Cu Kα, 1.54184 Å.
Intensities are scaled so that the largest is 100.

The 12 most intense peaks (2θ from 10° to 90°), in order of rising 2θ:
(1 0 1), 18.6 deg, rel. 28; (1 1 -1), 21.1 deg, rel. 38; (1 0 -2), 23.8 deg, rel. 100; (2 -1 0), 25.1 deg, rel. 47; (1 1 1), 25.8 deg, rel. 91; (0 2 -1), 26.1 deg, rel. 57; (1 -2 1), 26.6 deg, rel. 46; (1 -1 2), 27.4 deg, rel. 32; (-1 2 1), 28.6 deg, rel. 87; (2 1 -1), 31.5 deg, rel. 59; (2 -1 2), 35.7 deg, rel. 57; (0 3 0), 39.0 deg, rel. 60

Atomic structure:
```
data_CsScCuI6
_chemical_formula_sum 'Cs1 Sc1 Cu1 I6'
_space_group_name_H-M_alt 'P 1'
_space_group_IT_number 1
_space_group_name_Hall 'P 1'
_cell_length_a 7.321
_cell_length_b 7.322
_cell_length_c 8.085
_cell_angle_alpha 98.18
_cell_angle_beta 97.94
_cell_angle_gamma 105.55
loop_
_atom_site_label
_atom_site_type_symbol
_atom_site_fract_x
_atom_site_fract_y
_atom_site_fract_z
Cs1 Cs 0.000 0.000 0.000
Sc1 Sc 0.411 0.589 0.500
Cu1 Cu 0.768 0.230 0.501
I1 I 0.123 0.576 0.232
I2 I 0.135 0.290 0.628
I3 I 0.424 0.880 0.767
I4 I 0.522 0.297 0.268
I5 I 0.700 0.478 0.733
I6 I 0.713 0.864 0.374
```